Calculated XRD peak list
Compound: Ho5AgIr2
Radiation: copper Kα
Structure: DFT lattice parameters and positions (PBE)

Cell and atoms:
```
16
Lattice="-3.8519 3.8519 6.6483 3.8519 -3.8519 6.6483 3.8519 3.8519 -6.6483" Properties=species:S:1:pos:R:3 pbc="T T T"
Ho 0.0000 0.0000 0.0000
Ho 5.0775 1.2256 -1.8006
Ho 1.2256 2.6264 -1.8006
Ho 5.0775 1.2256 1.8006
Ho 1.2256 2.6264 1.8006
Ho 0.0000 0.0000 6.6483
Ho 2.6264 1.2256 4.8476
Ho -1.2256 2.6264 4.8476
Ho 2.6264 1.2256 8.4489
Ho -1.2256 2.6264 8.4489
Ag 0.0000 0.0000 3.3241
Ag 0.0000 0.0000 9.9724
Ir 2.7637 1.0883 0.0000
Ir 2.7637 -1.0883 6.6483
Ir 1.0883 4.9402 0.0000
Ir 1.0883 2.7637 6.6483
```

Main lines, by angle (10 to 90 degrees two-theta):
- 13.32 deg, d 6.648, I 23
- 31.53 deg, d 2.838, I 10
- 32.92 deg, d 2.720, I 100
- 35.68 deg, d 2.517, I 16
- 36.90 deg, d 2.436, I 48
- 42.96 deg, d 2.105, I 26
- 53.19 deg, d 1.722, I 17
- 55.26 deg, d 1.662, I 9
- 68.32 deg, d 1.373, I 14
- 68.97 deg, d 1.362, I 20

Calculated XRD peak list
Compound: PrSmDyY
Radiation: copper Kα
Structure: DFT lattice parameters and positions (PBE)

Cell and atoms:
```
4
Lattice="0.0000 4.0690 4.0690 4.0690 0.0000 4.0690 4.0690 4.0690 0.0000" Properties=species:S:1:pos:R:3 pbc="T T T"
Pr 0.0000 0.0000 0.0000
Sm 4.0690 4.0690 4.0690
Dy 6.1035 6.1035 6.1035
Y 2.0345 2.0345 2.0345
```

Main lines, by angle (10 to 90 degrees two-theta):
- 18.89 deg, d 4.698, I 3
- 31.08 deg, d 2.877, I 100
- 36.62 deg, d 2.454, I 2
- 44.53 deg, d 2.035, I 19
- 48.78 deg, d 1.867, I 1
- 55.30 deg, d 1.661, I 39
- 58.98 deg, d 1.566, I 1
- 64.81 deg, d 1.439, I 12
- 73.62 deg, d 1.287, I 17
- 82.04 deg, d 1.175, I 4

Calculated XRD peak list
Compound: Nb2Zn3Ga
Radiation: copper Kα
Structure: DFT lattice parameters and positions (PBE)

Cell and atoms:
```
6
Lattice="2.5124 1.4506 4.1892 -2.5124 1.4506 4.1892 0.0000 -2.9011 4.1892" Properties=species:S:1:pos:R:3 pbc="T T T"
Nb 0.0000 0.0000 1.6041
Nb 0.0000 0.0000 10.9636
Zn -1.2562 -0.7253 4.1892
Zn -1.2562 0.7253 8.3785
Zn 0.0000 1.4506 4.1892
Ga 0.0000 0.0000 6.2839
```

Main lines, by angle (10 to 90 degrees two-theta):
- 35.23 deg, d 2.547, I 35
- 35.74 deg, d 2.512, I 36
- 41.49 deg, d 2.177, I 45
- 41.93 deg, d 2.155, I 100
- 42.15 deg, d 2.144, I 45
- 44.04 deg, d 2.056, I 42
- 68.13 deg, d 1.376, I 20
- 68.45 deg, d 1.371, I 22
- 74.50 deg, d 1.274, I 24
- 75.71 deg, d 1.256, I 23

Calculated XRD peak list
Compound: Sm3Tl2In4
Radiation: copper Kα
Structure: DFT lattice parameters and positions (PBE)

Cell and atoms:
```
9
Lattice="7.9896 0.0000 0.0000 -3.9948 6.9192 0.0000 0.0000 0.0000 4.4739" Properties=species:S:1:pos:R:3 pbc="T T T"
Sm -1.5817 2.7397 0.0000
Sm 3.1635 0.0000 0.0000
Sm 2.4131 4.1796 0.0000
Tl 0.0000 4.6128 2.2370
Tl 3.9948 2.3064 2.2370
In 0.0000 0.0000 0.0000
In -2.9690 5.1424 2.2370
In 1.0258 1.7768 2.2370
In 5.9380 0.0000 2.2370
```

Main lines, by angle (10 to 90 degrees two-theta):
- 29.99 deg, d 2.980, I 100
- 32.72 deg, d 2.737, I 77
- 34.29 deg, d 2.615, I 34
- 39.05 deg, d 2.306, I 47
- 39.93 deg, d 2.258, I 33
- 40.32 deg, d 2.237, I 29
- 53.94 deg, d 1.700, I 18
- 57.38 deg, d 1.606, I 31
- 62.04 deg, d 1.496, I 29
- 65.21 deg, d 1.431, I 11

Calculated XRD peak list
Compound: Ge3Pt2Se3
Radiation: copper Kα
Structure: DFT lattice parameters and positions (PBE)

Cell and atoms:
```
32
Lattice="6.2512 3.6091 5.1640 -6.2512 3.6091 5.1640 0.0000 -7.2183 5.1640" Properties=species:S:1:pos:R:3 pbc="T T T"
Ge -4.0884 1.3285 4.1662
Ge 0.8937 -4.2049 4.1662
Ge -1.2368 -1.7788 5.2310
Ge -3.1947 -2.8764 11.3257
Ge -0.9221 1.9605 5.2311
Ge -2.1589 0.1817 10.2608
Ge 2.1589 -0.1817 5.2311
Ge 0.9221 -1.9605 10.2608
Ge 3.1947 2.8764 4.1662
Ge 1.2368 1.7788 10.2608
Ge -0.8937 4.2049 11.3257
Ge 4.0884 -1.3285 11.3257
Pt -0.0722 -3.6348 6.3814
Pt -3.1118 1.8799 6.3814
Pt -3.1839 -1.7549 9.1104
Pt 0.0000 0.0000 3.9905
Pt 0.0000 0.0000 11.5014
Pt 3.1839 1.7549 6.3814
Pt 3.1118 -1.8799 9.1104
Pt 0.0722 3.6348 9.1104
Se -2.2011 0.2537 2.5966
Se 0.8808 -2.0331 2.5966
Se -3.1257 -0.7393 6.6424
Se 1.3203 1.7794 2.5966
Se -0.9227 -3.0766 8.8494
Se 2.2031 -2.3374 6.6425
Se -2.2031 2.3374 8.8494
Se 0.9227 3.0766 6.6425
Se -1.3203 -1.7793 12.8952
Se 3.1257 0.7393 8.8494
Se -0.8808 2.0331 12.8952
Se 2.2011 -0.2537 12.8952
```

Main lines, by angle (10 to 90 degrees two-theta):
- 20.01 deg, d 4.437, I 100
- 28.33 deg, d 3.150, I 40
- 28.56 deg, d 3.126, I 40
- 31.81 deg, d 2.813, I 42
- 31.96 deg, d 2.800, I 41
- 35.12 deg, d 2.555, I 30
- 45.57 deg, d 1.991, I 63
- 45.87 deg, d 1.978, I 64
- 50.44 deg, d 1.809, I 39
- 50.58 deg, d 1.805, I 19

Calculated XRD peak list
Compound: Nb4OsRh5
Radiation: copper Kα
Structure: DFT lattice parameters and positions (PBE)

Cell and atoms:
```
10
Lattice="4.7970 0.0000 0.0000 1.3495 5.4370 0.0000 1.7344 1.1534 6.0330" Properties=species:S:1:pos:R:3 pbc="T T T"
Nb 1.6682 2.4309 1.8593
Nb 3.2528 2.0497 5.2832
Nb 4.6280 4.5408 0.7498
Nb 6.2126 4.1595 4.1737
Os 3.9404 3.2952 3.0165
Rh 2.2326 5.2564 1.7810
Rh 3.8677 4.8020 5.4613
Rh 3.2657 0.5767 3.0165
Rh 4.0132 1.7884 0.5717
Rh 5.6482 1.3340 4.2520
```

Main lines, by angle (10 to 90 degrees two-theta):
- 39.10 deg, d 2.304, I 100
- 39.42 deg, d 2.286, I 98
- 44.44 deg, d 2.038, I 34
- 44.97 deg, d 2.016, I 33
- 47.48 deg, d 1.915, I 29
- 65.08 deg, d 1.433, I 21
- 66.99 deg, d 1.397, I 19
- 78.35 deg, d 1.220, I 12
- 78.79 deg, d 1.215, I 11
- 79.41 deg, d 1.207, I 11

Calculated XRD peak list
Compound: Tb2MgNi3Ge4
Radiation: copper Kα
Structure: DFT lattice parameters and positions (PBE)

Cell and atoms:
```
10
Lattice="4.0821 0.0000 0.0000 0.0000 4.0821 0.0000 0.0000 0.0000 10.3398" Properties=species:S:1:pos:R:3 pbc="T T T"
Tb 0.0000 2.0410 2.4412
Tb 2.0410 0.0000 7.8986
Mg 0.0000 0.0000 5.1699
Ni 0.0000 2.0410 9.1015
Ni 2.0410 0.0000 1.2383
Ni 2.0410 2.0410 5.1699
Ge 0.0000 0.0000 0.0000
Ge 0.0000 2.0410 6.7612
Ge 2.0410 0.0000 3.5786
Ge 2.0410 2.0410 0.0000
```

Main lines, by angle (10 to 90 degrees two-theta):
- 30.98 deg, d 2.886, I 26
- 34.04 deg, d 2.633, I 62
- 35.62 deg, d 2.520, I 100
- 41.34 deg, d 2.184, I 10
- 44.38 deg, d 2.041, I 53
- 49.40 deg, d 1.845, I 29
- 57.09 deg, d 1.613, I 28
- 64.57 deg, d 1.443, I 17
- 68.57 deg, d 1.369, I 21
- 75.98 deg, d 1.252, I 24

Calculated XRD peak list
Compound: KYC
Radiation: copper Kα
Structure: DFT lattice parameters and positions (PBE)

Cell and atoms:
```
6
Lattice="4.3891 0.0000 0.0000 0.0074 5.6235 0.0000 2.1904 2.8048 7.3734" Properties=species:S:1:pos:R:3 pbc="T T T"
K 0.0000 0.0000 0.0000
K 2.1986 2.8121 0.9714
Y 2.2074 5.6211 4.3681
Y 4.3965 2.8095 4.3530
C 4.4016 4.9434 5.3626
C 4.4030 6.2996 5.3633
```

Main lines, by angle (10 to 90 degrees two-theta):
- 12.00 deg, d 7.373, I 51
- 24.14 deg, d 3.687, I 34
- 28.50 deg, d 3.132, I 100
- 31.83 deg, d 2.812, I 21
- 35.58 deg, d 2.523, I 16
- 40.34 deg, d 2.236, I 17
- 41.13 deg, d 2.195, I 12
- 45.26 deg, d 2.004, I 21
- 52.93 deg, d 1.730, I 9
- 54.69 deg, d 1.678, I 13

Calculated XRD peak list
Compound: VRhBr
Radiation: copper Kα
Structure: DFT lattice parameters and positions (PBE)

Cell and atoms:
```
12
Lattice="9.8432 0.0000 0.0000 0.0000 4.4063 0.0000 0.0000 0.0000 5.5087" Properties=species:S:1:pos:R:3 pbc="T T T"
V 1.3960 1.1016 0.0000
V 1.3960 1.1016 2.7543
V 8.4471 3.3047 0.0000
V 8.4471 3.3047 2.7543
Rh 0.8070 3.2885 1.3772
Rh 0.8070 3.3210 4.1315
Rh 9.0362 1.0854 1.3772
Rh 9.0362 1.1178 4.1315
Br 3.2456 0.0385 1.3772
Br 3.2456 2.1647 4.1315
Br 6.5976 2.2417 1.3772
Br 6.5976 4.3678 4.1315
```

Main lines, by angle (10 to 90 degrees two-theta):
- 27.46 deg, d 3.248, I 60
- 31.73 deg, d 2.820, I 41
- 32.51 deg, d 2.754, I 36
- 36.51 deg, d 2.461, I 23
- 39.66 deg, d 2.272, I 33
- 42.03 deg, d 2.149, I 71
- 42.86 deg, d 2.110, I 100
- 47.80 deg, d 1.903, I 42
- 54.12 deg, d 1.695, I 26
- 80.98 deg, d 1.187, I 24

Calculated XRD peak list
Compound: Pm6Sm2Rh
Radiation: copper Kα
Structure: DFT lattice parameters and positions (PBE)

Cell and atoms:
```
9
Lattice="4.6591 -8.8414 0.0000 4.6591 8.8414 0.0000 0.0000 0.0000 3.6908" Properties=species:S:1:pos:R:3 pbc="T T T"
Pm 6.2162 -5.8822 0.0000
Pm 3.1019 5.8822 0.0000
Pm 2.0705 0.0000 1.8454
Pm 6.2162 5.8822 0.0000
Pm 3.1019 -5.8822 0.0000
Pm 7.2477 0.0000 1.8454
Sm 4.6591 3.0377 1.8454
Sm 4.6591 -3.0377 1.8454
Rh 0.0000 0.0000 0.0000
```

Main lines, by angle (10 to 90 degrees two-theta):
- 10.73 deg, d 8.244, I 21
- 26.46 deg, d 3.369, I 24
- 29.19 deg, d 3.059, I 18
- 30.14 deg, d 2.965, I 42
- 30.33 deg, d 2.947, I 59
- 32.57 deg, d 2.749, I 100
- 37.14 deg, d 2.421, I 34
- 40.95 deg, d 2.204, I 19
- 52.07 deg, d 1.756, I 18
- 59.06 deg, d 1.564, I 18

Calculated XRD peak list
Compound: HoEr2Tm
Radiation: copper Kα
Structure: DFT lattice parameters and positions (PBE)

Cell and atoms:
```
8
Lattice="5.5368 0.0000 0.0000 0.0000 6.1904 3.5803 0.0000 -6.1904 3.5803" Properties=species:S:1:pos:R:3 pbc="T T T"
Ho 1.3842 -4.1299 3.5803
Ho 4.1526 4.1299 3.5803
Er 1.3842 2.0580 3.5795
Er 1.3842 -1.0321 5.3687
Er 4.1526 -2.0580 3.5795
Er 4.1526 1.0321 5.3687
Tm 1.3842 -1.0315 1.7909
Tm 4.1526 1.0315 1.7909
```

Main lines, by angle (10 to 90 degrees two-theta):
- 28.82 deg, d 3.098, I 24
- 32.34 deg, d 2.768, I 24
- 33.14 deg, d 2.704, I 100
- 43.86 deg, d 2.064, I 15
- 51.07 deg, d 1.789, I 20
- 58.18 deg, d 1.586, I 20
- 61.75 deg, d 1.502, I 22
- 62.24 deg, d 1.492, I 16
- 84.56 deg, d 1.146, I 10
- 89.54 deg, d 1.095, I 9

Calculated XRD peak list
Compound: AcPd4Pb4
Radiation: copper Kα
Structure: DFT lattice parameters and positions (PBE)

Cell and atoms:
```
18
Lattice="9.2076 0.0000 0.0000 0.0000 9.2076 0.0000 0.0000 0.0000 5.5822" Properties=species:S:1:pos:R:3 pbc="T T T"
Ac 2.3019 2.3019 1.3956
Ac 6.9057 6.9057 4.1867
Pd 0.3884 5.6419 3.6590
Pd 1.0381 8.8192 0.8679
Pd 3.5657 4.9922 0.8679
Pd 4.2154 8.1695 3.6590
Pd 4.9922 1.0381 1.9232
Pd 5.6419 4.2154 4.7143
Pd 8.1695 0.3884 4.7143
Pd 8.8192 3.5657 1.9232
Pb 0.8342 5.9217 0.8736
Pb 1.3179 8.3734 3.6647
Pb 3.2859 5.4381 3.6647
Pb 3.7696 7.8897 0.8736
Pb 5.4381 1.3179 4.7086
Pb 5.9217 3.7696 1.9175
Pb 7.8897 0.8342 1.9175
Pb 8.3734 3.2859 4.7086
```

Main lines, by angle (10 to 90 degrees two-theta):
- 13.60 deg, d 6.511, I 15
- 18.59 deg, d 4.773, I 17
- 26.91 deg, d 3.314, I 42
- 30.71 deg, d 2.912, I 100
- 33.55 deg, d 2.671, I 43
- 38.78 deg, d 2.322, I 25
- 43.84 deg, d 2.065, I 32
- 43.98 deg, d 2.059, I 27
- 44.99 deg, d 2.015, I 19
- 48.31 deg, d 1.884, I 15